Theoretical powder diffraction line list of TcTe4Rh for copper Kα, from a DFT-relaxed cell (PBE, Alexandria).
Kinematic intensities with the Lorentz-polarization factor, no thermal factor.

Atomic structure:
Cell: 6.508 6.505 6.516 Å, 90.00 90.30 90.00°
Fractional coordinates of all 12 atoms:
1 Tc 0.000 0.000 0.000
2 Tc 0.000 0.500 0.500
3 Te 0.124 0.129 0.631
4 Te 0.124 0.371 0.131
5 Te 0.368 0.627 0.625
6 Te 0.368 0.873 0.125
7 Te 0.632 0.127 0.875
8 Te 0.632 0.373 0.375
9 Te 0.876 0.629 0.869
10 Te 0.876 0.871 0.369
11 Rh 0.500 0.000 0.500
12 Rh 0.500 0.500 0.000

Main lines, in order of rising 2θ (2θ = 10–90°):
| 2theta | d (Å) | I/Imax |
| --- | --- | --- |
| 27.4 | 3.255 | 22.1 |
| 30.6 | 2.920 | 17.6 |
| 30.7 | 2.910 | 100.0 |
| 33.7 | 2.662 | 46.3 |
| 33.8 | 2.654 | 41.9 |
| 39.2 | 2.300 | 17.0 |
| 46.2 | 1.966 | 29.1 |
| 46.3 | 1.961 | 57.9 |
| 52.6 | 1.740 | 20.2 |
| 52.7 | 1.737 | 17.1 |